# 1
Diffraction record for Cu8O. The X-ray powder pattern is theoretical, not measured: it uses a crystal structure in Alexandria, relaxed with GGA-PBE and Cu Ka.
Kinematic intensities with the Lorentz-polarization factor, no thermal factor.

Atomic structure:
```
Cu8O
1.0
3.1034 -3.1110 0.0000
3.1034 3.1110 0.0000
0.0000 0.0000 5.5081
Cu O
8 1
Direct
0.1879 0.8121 0.0000
0.2117 0.7883 0.5000
0.2771 0.2771 0.2742
0.2771 0.2771 0.7258
0.7229 0.7229 0.2742
0.7229 0.7229 0.7258
0.7883 0.2117 0.5000
0.8121 0.1879 0.0000
0.5000 0.5000 0.0000
```

The 6 most intense peaks (10 to 80 degrees two-theta), most intense first:
2theta	I (rel.)
43.93	100
41.08	52
46.18	20
76.89	11
73.19	10
59.58	9

---

# 2
Diffraction record for Sr3HgPb. The X-ray powder pattern is theoretical, not measured: it uses a crystal structure in Alexandria, relaxed with GGA-PBE and Cu Ka.
Kinematic intensities with the Lorentz-polarization factor, no thermal factor.

Atomic structure:
```
Sr3HgPb
1.0
5.5642 -8.9686 0.0000
5.5642 8.9686 0.0000
0.0000 0.0000 4.1282
Sr Hg Pb
6 2 2
Direct
0.1545 0.8455 0.0000
0.2003 0.4172 0.4995
0.4172 0.2003 0.5005
0.5828 0.7997 0.5005
0.7997 0.5828 0.4995
0.8455 0.1545 0.0000
0.0000 0.5000 0.9993
0.5000 0.0000 0.0007
0.0000 0.0000 0.5000
0.5000 0.5000 0.0000
```

The 6 most intense peaks (10 to 80 degrees two-theta), most intense first:
2theta	I (rel.)
18.77	100
34.05	88
27.45	71
33.62	61
23.73	36
32.84	34

---

# 3
Diffraction record for AuC3. The X-ray powder pattern is theoretical, not measured: it uses a crystal structure in Alexandria, relaxed with GGA-PBE and Cu Ka.
Kinematic intensities with the Lorentz-polarization factor, no thermal factor.

Atomic structure:
```
AuC3
1.0
2.5416 0.0000 0.0000
0.0000 6.2608 0.0000
0.0000 0.0000 6.4645
Au C
2 6
Direct
0.2500 0.2500 0.0805
0.7500 0.7500 0.9195
0.2500 0.5477 0.5277
0.2500 0.7500 0.6376
0.2500 0.9523 0.5277
0.7500 0.0477 0.4723
0.7500 0.2500 0.3624
0.7500 0.4523 0.4723
```

The 6 most intense peaks (10 to 80 degrees two-theta), most intense first:
2theta	I (rel.)
13.70	100
19.74	55
40.78	54
31.76	52
31.14	38
28.51	36

---

# 4
Diffraction record for Ho2Tm3Bi2. The X-ray powder pattern is theoretical, not measured: it uses a crystal structure in Alexandria, relaxed with GGA-PBE and Cu Ka.
Kinematic intensities with the Lorentz-polarization factor, no thermal factor.

Atomic structure:
```
Ho2Tm3Bi2
1.0
12.0029 0.0000 0.0000
0.0000 4.3098 0.0000
-2.6319 0.0000 8.0768
Ho Tm Bi
4 6 4
Direct
0.1180 0.0000 0.2624
0.3820 0.5000 0.7376
0.6180 0.5000 0.2624
0.8820 0.0000 0.7376
0.0000 0.5000 0.5000
0.1262 0.5000 0.9429
0.3738 0.0000 0.0571
0.5000 0.0000 0.5000
0.6262 0.0000 0.9429
0.8738 0.5000 0.0571
0.1774 0.0000 0.6856
0.3226 0.5000 0.3144
0.6774 0.5000 0.6856
0.8226 0.0000 0.3144
```

The 6 most intense peaks (10 to 80 degrees two-theta), most intense first:
2theta	I (rel.)
33.07	100
30.73	97
31.36	43
32.06	36
41.92	34
38.16	23

---

# 5
Diffraction record for SrUP2N6. The X-ray powder pattern is theoretical, not measured: it uses a crystal structure in Alexandria, relaxed with GGA-PBE and Cu Ka.
Kinematic intensities with the Lorentz-polarization factor, no thermal factor.

Atomic structure:
```
SrUP2N6
1.0
5.1955 -5.1080 0.0000
5.1955 5.1080 0.0000
-1.6673 0.0000 5.2763
Sr U P N
2 2 4 12
Direct
0.0943 0.9057 0.7500
0.9057 0.0943 0.2500
0.2981 0.7019 0.2500
0.7019 0.2981 0.7500
0.2062 0.3651 0.8326
0.3651 0.2062 0.3326
0.6349 0.7938 0.6674
0.7938 0.6349 0.1674
0.0060 0.2574 0.7140
0.1998 0.5966 0.8827
0.2574 0.0060 0.2140
0.2963 0.3587 0.1431
0.3587 0.2963 0.6431
0.4034 0.8002 0.6173
0.5966 0.1998 0.3827
0.6413 0.7037 0.3569
0.7037 0.6413 0.8569
0.7426 0.9940 0.7860
0.8002 0.4034 0.1173
0.9940 0.7426 0.2860
```

The 6 most intense peaks (10 to 80 degrees two-theta), most intense first:
2theta	I (rel.)
18.65	100
27.04	94
17.90	90
33.99	83
25.04	60
33.30	51

---

# 6
Diffraction record for HgP2PdO7. The X-ray powder pattern is theoretical, not measured: it uses a crystal structure in Alexandria, relaxed with GGA-PBE and Cu Ka.
Kinematic intensities with the Lorentz-polarization factor, no thermal factor.

Atomic structure:
```
HgP2PdO7
1.0
7.2319 -2.5804 0.0000
7.2319 2.5804 0.0000
-1.9420 0.0000 8.7812
Hg P Pd O
2 4 2 14
Direct
0.0000 0.5000 0.0000
0.5000 0.0000 0.5000
0.0505 0.7474 0.7225
0.2526 0.9495 0.7775
0.7474 0.0505 0.2225
0.9495 0.2526 0.2775
0.5000 0.5000 0.0000
0.5000 0.5000 0.5000
0.0012 0.9988 0.7500
0.1238 0.2336 0.8036
0.1763 0.6130 0.8757
0.2328 0.5543 0.5883
0.2336 0.1238 0.3036
0.3870 0.8237 0.6243
0.4457 0.7672 0.9117
0.5543 0.2328 0.0883
0.6130 0.1763 0.3757
0.7664 0.8762 0.6964
0.7672 0.4457 0.4117
0.8237 0.3870 0.1243
0.8762 0.7664 0.1964
0.9988 0.0012 0.2500
```

The 6 most intense peaks (10 to 80 degrees two-theta), most intense first:
2theta	I (rel.)
21.59	100
20.24	63
37.07	45
28.82	41
41.16	36
29.08	36

---

# 7
Diffraction record for NbPd3Pt3. The X-ray powder pattern is theoretical, not measured: it uses a crystal structure in Alexandria, relaxed with GGA-PBE and Cu Ka.
Kinematic intensities with the Lorentz-polarization factor, no thermal factor.

Atomic structure:
```
NbPd3Pt3
1.0
7.7709 0.0000 0.0000
0.0000 7.7709 0.0000
0.0000 0.0000 7.7709
Nb Pd Pt
4 12 12
Direct
0.0980 0.4019 0.5980
0.4019 0.5980 0.0980
0.5980 0.0980 0.4019
0.9020 0.9020 0.9020
0.0584 0.5584 0.9416
0.1106 0.1106 0.1106
0.1994 0.8006 0.3006
0.3006 0.1994 0.8006
0.3894 0.8894 0.6106
0.4416 0.4416 0.4416
0.5584 0.9416 0.0584
0.6106 0.3894 0.8894
0.6994 0.6994 0.6994
0.8006 0.3006 0.1994
0.8894 0.6106 0.3894
0.9416 0.0584 0.5584
0.0725 0.7471 0.6424
0.1424 0.4275 0.2529
0.2471 0.8576 0.9275
0.2529 0.1424 0.4275
0.3576 0.5725 0.7529
0.4275 0.2529 0.1424
0.5725 0.7529 0.3576
0.6424 0.0725 0.7471
0.7471 0.6424 0.0725
0.7529 0.3576 0.5725
0.8576 0.9275 0.2471
0.9275 0.2471 0.8576
```

The 6 most intense peaks (10 to 80 degrees two-theta), most intense first:
2theta	I (rel.)
36.57	100
41.92	95
43.58	90
28.13	46
48.29	41
38.42	41

---

# 8
Diffraction record for In2Ag3Au6. The X-ray powder pattern is theoretical, not measured: it uses a crystal structure in Alexandria, relaxed with GGA-PBE and Cu Ka.
Kinematic intensities with the Lorentz-polarization factor, no thermal factor.

Atomic structure:
```
In2Ag3Au6
1.0
5.0262 -6.7158 0.0000
5.0262 6.7158 0.0000
0.0000 0.0000 3.2762
In Ag Au
2 3 6
Direct
0.1700 0.1700 0.0000
0.8300 0.8300 0.0000
0.3131 0.6869 0.0000
0.5000 0.5000 0.5000
0.6869 0.3131 0.0000
0.1323 0.4298 0.5000
0.1369 0.8631 0.5000
0.4298 0.1323 0.5000
0.5702 0.8677 0.5000
0.8631 0.1369 0.5000
0.8677 0.5702 0.5000
```

The 6 most intense peaks (10 to 80 degrees two-theta), most intense first:
2theta	I (rel.)
38.39	100
33.40	86
39.03	76
35.09	75
43.61	74
35.73	66

---

# 9
Diffraction record for Zn2Ag2Pd7. The X-ray powder pattern is theoretical, not measured: it uses a crystal structure in Alexandria, relaxed with GGA-PBE and Cu Ka.
Kinematic intensities with the Lorentz-polarization factor, no thermal factor.

Atomic structure:
```
Zn2Ag2Pd7
1.0
2.9070 -3.8741 0.0000
2.9070 3.8741 0.0000
-0.9774 0.0000 7.7552
Zn Ag Pd
2 2 7
Direct
0.1809 0.1809 0.3384
0.8191 0.8191 0.6616
0.2718 0.7282 0.5000
0.7282 0.2718 0.5000
0.0000 0.0000 0.0000
0.1931 0.5810 0.1437
0.2544 0.2544 0.6951
0.4190 0.8069 0.8563
0.5810 0.1931 0.1437
0.7456 0.7456 0.3049
0.8069 0.4190 0.8563
```

The 6 most intense peaks (10 to 80 degrees two-theta), most intense first:
2theta	I (rel.)
42.02	100
39.52	79
38.16	73
41.28	64
38.93	30
77.44	27

---

# 10
Diffraction record for RbLiTm2O4. The X-ray powder pattern is theoretical, not measured: it uses a crystal structure in Alexandria, relaxed with GGA-PBE and Cu Ka.
Kinematic intensities with the Lorentz-polarization factor, no thermal factor.

Atomic structure:
```
RbLiTm2O4
1.0
1.7136 -5.7748 0.0000
1.7136 5.7748 0.0000
0.0000 0.0000 11.5722
Rb Li Tm O
2 2 4 8
Direct
0.0988 0.9012 0.7500
0.9012 0.0988 0.2500
0.1815 0.8185 0.2500
0.8185 0.1815 0.7500
0.3648 0.6352 0.5587
0.3648 0.6352 0.9413
0.6352 0.3648 0.0587
0.6352 0.3648 0.4413
0.0000 0.0000 0.0000
0.0000 0.0000 0.5000
0.2501 0.7499 0.0979
0.2501 0.7499 0.4021
0.3984 0.6016 0.7500
0.6016 0.3984 0.2500
0.7499 0.2501 0.5979
0.7499 0.2501 0.9021
```

The 6 most intense peaks (10 to 80 degrees two-theta), most intense first:
2theta	I (rel.)
27.81	100
31.31	48
15.31	46
53.39	43
35.92	43
30.96	43

---

# 11
Diffraction record for Cs2KRb8Na. The X-ray powder pattern is theoretical, not measured: it uses a crystal structure in Alexandria, relaxed with GGA-PBE and Cu Ka.
Kinematic intensities with the Lorentz-polarization factor, no thermal factor.

Atomic structure:
```
Cs2KRb8Na
1.0
8.0414 -4.6362 0.0000
8.0414 4.6362 0.0000
-5.4143 0.0000 14.4838
Cs K Rb Na
2 1 8 1
Direct
0.1880 0.1880 0.0631
0.8120 0.8120 0.9369
0.0000 0.0000 0.5000
0.2533 0.2533 0.7576
0.2527 0.7457 0.7568
0.2543 0.7473 0.2432
0.3140 0.3140 0.4402
0.6860 0.6860 0.5598
0.7457 0.2527 0.7568
0.7473 0.2543 0.2432
0.7467 0.7467 0.2424
0.5000 0.5000 0.0000
```

The 6 most intense peaks (10 to 80 degrees two-theta), most intense first:
2theta	I (rel.)
22.76	100
22.50	98
19.73	68
23.61	52
23.27	46
38.82	42

---

# 12
Diffraction record for Ba2SrCa8. The X-ray powder pattern is theoretical, not measured: it uses a crystal structure in Alexandria, relaxed with GGA-PBE and Cu Ka.
Kinematic intensities with the Lorentz-polarization factor, no thermal factor.

Atomic structure:
```
Ba2SrCa8
1.0
5.5221 0.0000 0.0000
0.0000 5.5221 0.0000
0.0000 0.0000 17.8847
Ba Sr Ca
2 1 8
Direct
0.0000 0.0000 0.1704
0.0000 0.0000 0.8296
0.0000 0.0000 0.5000
0.0000 0.5000 0.0000
0.0000 0.5000 0.3348
0.0000 0.5000 0.6652
0.5000 0.0000 0.0000
0.5000 0.0000 0.3348
0.5000 0.0000 0.6652
0.5000 0.5000 0.1674
0.5000 0.5000 0.8326
```

The 6 most intense peaks (10 to 80 degrees two-theta), most intense first:
2theta	I (rel.)
27.30	100
32.43	32
54.78	26
16.05	25
21.94	24
44.74	24

---

# 13
Diffraction record for AcCd3. The X-ray powder pattern is theoretical, not measured: it uses a crystal structure in Alexandria, relaxed with GGA-PBE and Cu Ka.
Kinematic intensities with the Lorentz-polarization factor, no thermal factor.

Atomic structure:
```
AcCd3
1.0
7.2038 0.0000 0.0000
-3.6019 6.2387 0.0000
0.0000 0.0000 5.0740
Ac Cd
2 6
Direct
0.3333 0.6667 0.2500
0.6667 0.3333 0.7500
0.1490 0.2980 0.7500
0.1490 0.8510 0.7500
0.2980 0.1490 0.2500
0.7020 0.8510 0.7500
0.8510 0.1490 0.2500
0.8510 0.7020 0.2500
```

The 6 most intense peaks (10 to 80 degrees two-theta), most intense first:
2theta	I (rel.)
33.73	100
28.62	25
35.38	21
63.33	19
50.69	18
62.46	16